Entry 1:
# CaCu2O4
Theoretical powder XRD pattern, Cu Ka. Input: a structure optimized by DFT (PBE).

Structural model:
a b c (Å): 5.8248 5.8248 9.4758
angles (deg): 90.00 90.00 90.00
Space group I4_1/a (No. 88, origin choice 2)
One atom of each set of equivalent atoms:
Ca 0.0000 0.2500 0.1250 [4 per cell]
Cu 0.0000 0.0000 0.5000 [8 per cell]
O 0.1447 0.4755 0.3250 [16 per cell]

Main lines, sorted by position (15° ≤ 2θ ≤ 90°):
index  two_theta  d/Å  I (rel.)
1 0 1  17.9  4.962  43
1 1 2  28.7  3.108  10
1 0 3  32.2  2.777  32
1 2 1  35.7  2.512  100
2 0 2  36.2  2.481  61
1 0 5  50.7  1.802  19
3 0 3  55.6  1.654  17
2 3 1  57.9  1.593  16
2 2 4  59.5  1.554  28
4 0 0  63.9  1.456  10
2 0 6  67.5  1.388  14
4 2 2  75.7  1.256  18

=====

Entry 2:
# CaCuO2
Theoretical powder XRD pattern, Cu Ka. Input: a structure optimized by DFT (PBE).

Structural model:
a b c (Å): 3.0595 7.8744 8.5218
angles (deg): 84.98 89.17 89.17
Space group P-1 (No. 2)
One atom of each set of equivalent atoms:
Ca 0.2369 0.0754 0.3190 [2 per cell]
Ca 0.2577 0.8052 0.0442 [2 per cell]
Cu 0.2393 0.2932 0.5965 [2 per cell]
Cu 0.2834 0.5535 0.7916 [2 per cell]
O 0.2063 0.5925 0.2808 [2 per cell]
O 0.2270 0.3205 0.1294 [2 per cell]
O 0.2530 0.0343 0.8400 [2 per cell]
O 0.2675 0.8161 0.5032 [2 per cell]

Main lines, sorted by position (15° ≤ 2θ ≤ 90°):
index  two_theta  d/Å  I (rel.)
0 1 -2  24.7  3.604  34
0 2 -2  32.4  2.763  100
0 1 3  32.7  2.739  38
1 -1 1  33.5  2.676  67
0 3 1  35.0  2.562  29
1 2 2  41.6  2.168  56
-1 2 2  42.5  2.126  45
1 0 4  52.1  1.755  17
1 4 0  55.3  1.661  21
1 -4 0  56.0  1.641  18
2 0 0  60.5  1.529  16
2 -2 2  70.4  1.338  15

=====

Entry 3:
# CaCu3O4
Theoretical powder XRD pattern, Cu Ka. Input: a structure optimized by DFT (PBE).

Structural model:
a b c (Å): 5.5987 5.5987 5.5987
angles (deg): 90.00 90.00 90.00
Space group Pm-3n (No. 223)
One atom of each set of equivalent atoms:
Ca 0.0000 0.0000 0.0000 [2 per cell]
Cu 0.0000 0.2500 0.5000 [6 per cell]
O 0.2500 0.2500 0.2500 [8 per cell]

Main lines, sorted by position (15° ≤ 2θ ≤ 90°):
index  two_theta  d/Å  I (rel.)
1 1 0  22.5  3.959  6
2 0 0  32.0  2.799  3
2 1 0  35.9  2.504  100
2 1 1  39.4  2.286  49
2 2 0  45.8  1.979  1
2 2 2  57.0  1.616  21
3 2 0  59.5  1.553  21
3 2 1  62.0  1.496  23
4 0 0  66.8  1.400  17
4 2 0  76.0  1.252  2
4 2 1  78.2  1.222  17
3 3 2  80.5  1.194  5

=====

Entry 4:
# CaCuO2
Theoretical powder XRD pattern, Cu Ka. Input: a structure optimized by DFT (PBE).

Structural model:
a b c (Å): 3.6007 7.7836 8.2169
angles (deg): 105.45 98.23 94.78
Space group P-1 (No. 2)
One atom of each set of equivalent atoms:
Ca 0.0937 0.3429 0.1569 [2 per cell]
Ca 0.2425 0.7112 0.5111 [2 per cell]
Cu 0.3252 0.9834 0.1495 [2 per cell]
Cu 0.3568 0.3085 0.7956 [2 per cell]
O 0.1561 0.7632 0.1928 [2 per cell]
O 0.1872 0.1528 0.3282 [2 per cell]
O 0.3006 0.4886 0.6682 [2 per cell]
O 0.4911 0.8350 0.9594 [2 per cell]

Main lines, sorted by position (15° ≤ 2θ ≤ 90°):
index  two_theta  d/Å  I (rel.)
0 1 1  18.7  4.756  57
0 0 2  22.8  3.901  28
1 1 -2  32.2  2.783  50
1 -2 1  33.8  2.650  55
1 1 1  34.3  2.613  100
0 0 3  34.5  2.599  73
0 3 0  36.2  2.480  35
-1 2 2  41.6  2.169  41
0 3 -3  42.7  2.118  68
-2 1 1  51.7  1.767  23
1 -2 4  55.8  1.649  17
1 4 -2  56.0  1.642  25

=====

Entry 5:
# CaCuO2
Theoretical powder XRD pattern, Cu Ka. Input: a structure optimized by DFT (PBE).

Structural model:
a b c (Å): 3.8750 3.8750 3.2098
angles (deg): 90.00 90.00 90.00
Space group P4/mmm (No. 123)
One atom of each set of equivalent atoms:
Ca 0.0000 0.0000 0.0000 [1 per cell]
Cu 0.5000 0.5000 0.5000 [1 per cell]
O 0.0000 0.5000 0.5000 [2 per cell]

Main lines, sorted by position (15° ≤ 2θ ≤ 90°):
index  two_theta  d/Å  I (rel.)
1 0 0  23.0  3.875  9
0 0 1  27.8  3.210  16
1 1 0  32.7  2.740  33
1 0 1  36.3  2.472  100
2 0 0  46.9  1.937  38
2 0 1  55.4  1.659  7
0 0 2  57.4  1.605  9
2 1 1  60.7  1.525  40
1 1 2  67.7  1.385  8
2 2 0  68.5  1.370  10
2 0 2  77.2  1.236  14
3 0 1  80.1  1.198  8

=====

Entry 6:
# Ca2Cu2O5
Theoretical powder XRD pattern, Cu Ka. Input: a structure optimized by DFT (PBE).

Structural model:
a b c (Å): 14.9526 5.4988 5.3782
angles (deg): 90.00 90.00 90.00
Space group Ima2 (No. 46)
One atom of each set of equivalent atoms:
Ca 0.1067 0.0164 0.0000 [8 per cell]
Cu 0.0000 0.0000 0.4937 [4 per cell]
Cu 0.2500 0.5538 0.0393 [4 per cell]
O 0.0099 0.7476 0.2467 [8 per cell]
O 0.1342 0.0517 0.4805 [8 per cell]
O 0.2500 0.6176 0.3867 [4 per cell]

Main lines, sorted by position (15° ≤ 2θ ≤ 90°):
index  two_theta  d/Å  I (rel.)
0 1 1  23.1  3.845  23
4 0 0  23.8  3.738  13
0 2 0  32.6  2.749  38
0 0 2  33.3  2.689  41
4 1 1  33.4  2.680  100
6 1 1  43.3  2.091  11
0 2 2  47.3  1.922  40
8 0 0  48.7  1.869  19
4 3 1  58.7  1.574  17
4 1 3  59.6  1.551  19
8 0 2  60.3  1.535  9
8 2 2  70.2  1.340  15

=====

Entry 7:
# CaCu2O3
Theoretical powder XRD pattern, Cu Ka. Input: a structure optimized by DFT (PBE).

Structural model:
a b c (Å): 4.1363 10.0891 3.6513
angles (deg): 90.00 90.00 90.00
Space group Pmmn (No. 59, origin choice 2)
One atom of each set of equivalent atoms:
Ca 0.2500 0.2500 0.1122 [2 per cell]
Cu 0.2500 0.5863 0.3747 [4 per cell]
O 0.2500 0.0849 0.5884 [4 per cell]
O 0.2500 0.7500 0.1328 [2 per cell]

Main lines, sorted by position (15° ≤ 2θ ≤ 90°):
index  two_theta  d/Å  I (rel.)
0 0 1  24.4  3.651  50
0 2 1  30.2  2.958  90
1 0 1  32.7  2.737  97
1 1 1  33.9  2.642  39
1 3 0  34.4  2.609  100
0 3 1  36.3  2.474  86
0 4 1  43.6  2.075  37
2 0 0  43.8  2.068  75
0 1 2  50.8  1.798  35
2 2 1  54.1  1.695  29
0 6 0  54.6  1.682  36
2 3 1  58.2  1.586  66

=====

Entry 8:
# CaCu2O2
Theoretical powder XRD pattern, Cu Ka. Input: a structure optimized by DFT (PBE).

Structural model:
a b c (Å): 5.3342 5.3342 9.4832
angles (deg): 90.00 90.00 90.00
Space group I4_1/amd (No. 141, origin choice 2)
One atom of each set of equivalent atoms:
Ca 0.0000 0.2500 0.3750 [4 per cell]
Cu 0.0000 0.0000 0.0000 [8 per cell]
O 0.0000 0.2500 0.1361 [8 per cell]

Main lines, sorted by position (15° ≤ 2θ ≤ 90°):
index  two_theta  d/Å  I (rel.)
1 0 1  19.1  4.649  41
1 0 3  32.9  2.719  70
2 0 0  33.6  2.667  22
2 0 2  38.7  2.325  97
2 1 1  38.9  2.313  100
1 0 5  51.1  1.787  24
3 0 3  59.7  1.550  12
2 2 4  63.0  1.476  46
3 2 1  63.7  1.462  21
2 0 6  69.1  1.360  15
4 0 0  70.6  1.334  16
4 2 2  83.6  1.157  18